Computed powder diffractogram
Compound: Er4CdCu2Pd
Radiation: Cu Kα
Structure: a structure optimized by DFT (PBE)
Lines closer than 0.1° are merged.

Structural model:
Cell: 8.636 8.636 8.636 Å, 33.53 33.53 33.53°
Element x y z (fractional)
Er (0.120, 0.120, 0.120)
Er (0.371, 0.371, 0.371)
Er (0.629, 0.629, 0.629)
Er (0.880, 0.880, 0.880)
Cd (0.500, 0.500, 0.500)
Cu (0.244, 0.244, 0.244)
Cu (0.756, 0.756, 0.756)
Pd (0.000, 0.000, 0.000)

Most intense lines, 2θ from 5° to 70°, sorted by position:
2θ 21.84, I 18
2θ 25.27, I 104
2θ 33.01, I 18
2θ 36.05, I 1000
2θ 44.54, I 31
2θ 49.68, I 14
2θ 51.90, I 170
2θ 58.58, I 42
2θ 64.81, I 337
2θ 68.88, I 18